1.
Theoretical XRD peak list
Compound: LaTc4P4
Radiation: Cu Kα X-rays
Structure: a structure optimized by DFT (GGA-PBE)

Peak list (8 most intense, 10° ≤ 2θ ≤ 80°, in order of rising 2θ)
2θ = 31.6°, d 2.834, rel. 100; 2θ = 33.8°, d 2.653, rel. 71; 2θ = 43.2°, d 2.095, rel. 26; 2θ = 44.2°, d 2.049, rel. 22; 2θ = 48.5°, d 1.876, rel. 15; 2θ = 53.6°, d 1.711, rel. 16; 2θ = 54.8°, d 1.676, rel. 15; 2θ = 59.0°, d 1.564, rel. 27

Cell and atoms:
```
LaTc4P4
1.0
8.390 0.000 0.000
0.000 8.390 0.000
0.000 0.000 4.326
La Tc P
2 8 8
Direct
0.250 0.250 0.250 La
0.750 0.750 0.750 La
0.098 0.630 0.162 Tc
0.130 0.902 0.662 Tc
0.370 0.598 0.662 Tc
0.402 0.870 0.162 Tc
0.598 0.130 0.838 Tc
0.630 0.402 0.338 Tc
0.870 0.098 0.338 Tc
0.902 0.370 0.838 Tc
0.021 0.886 0.164 P
0.114 0.521 0.664 P
0.386 0.979 0.664 P
0.479 0.614 0.164 P
0.521 0.386 0.836 P
0.614 0.021 0.336 P
0.886 0.479 0.336 P
0.979 0.114 0.836 P
```

***

2.
Theoretical XRD peak list
Compound: La2TcP
Radiation: Cu Kα X-rays
Structure: a structure optimized by DFT (GGA-PBE)

Peak list (8 most intense, 10° ≤ 2θ ≤ 80°, in order of rising 2θ)
2θ = 26.8°, d 3.326, rel. 34; 2θ = 30.7°, d 2.915, rel. 100; 2θ = 33.0°, d 2.716, rel. 54; 2θ = 39.3°, d 2.295, rel. 45; 2θ = 40.2°, d 2.243, rel. 18; 2θ = 42.1°, d 2.145, rel. 48; 2θ = 54.5°, d 1.684, rel. 25; 2θ = 55.3°, d 1.663, rel. 17

Cell and atoms:
```
La2TcP
1.0
4.291 0.000 0.000
0.000 2.144 5.264
0.000 -2.144 5.264
La Tc P
2 1 1
Direct
0.000 0.000 0.000 La
0.500 0.281 0.281 La
0.000 0.699 0.699 Tc
0.500 0.579 0.579 P
```

***

3.
Theoretical XRD peak list
Compound: LaY2TcP
Radiation: Cu Kα X-rays
Structure: a structure optimized by DFT (GGA-PBE)

Peak list (8 most intense, 10° ≤ 2θ ≤ 80°, in order of rising 2θ)
2θ = 29.4°, d 3.043, rel. 100; 2θ = 32.3°, d 2.774, rel. 26; 2θ = 34.9°, d 2.573, rel. 42; 2θ = 48.2°, d 1.886, rel. 33; 2θ = 55.8°, d 1.649, rel. 16; 2θ = 59.2°, d 1.562, rel. 27; 2θ = 60.9°, d 1.521, rel. 16; 2θ = 78.3°, d 1.221, rel. 19

Cell and atoms:
```
LaY2TcP
1.0
5.146 0.000 0.000
0.000 5.146 0.000
0.000 0.000 5.548
La Y Tc P
1 2 1 1
Direct
0.000 0.000 0.000 La
0.000 0.500 0.500 Y
0.500 0.000 0.500 Y
0.500 0.500 0.000 Tc
0.000 0.000 0.500 P
```

***

4.
Theoretical XRD peak list
Compound: LaTh4P6
Radiation: Cu Kα X-rays
Structure: a structure optimized by DFT (GGA-PBE)

Peak list (8 most intense, 10° ≤ 2θ ≤ 80°, in order of rising 2θ)
2θ = 21.8°, d 4.071, rel. 25; 2θ = 24.4°, d 3.650, rel. 81; 2θ = 26.9°, d 3.314, rel. 100; 2θ = 31.0°, d 2.888, rel. 46; 2θ = 33.1°, d 2.707, rel. 38; 2θ = 34.8°, d 2.580, rel. 29; 2θ = 36.6°, d 2.454, rel. 34; 2θ = 47.4°, d 1.918, rel. 35

Cell and atoms:
```
LaTh4P6
1.0
5.740 3.314 4.730
-5.740 3.314 4.730
0.000 -6.628 4.730
La Th P
2 8 12
Direct
0.000 0.000 0.000 La
0.500 0.500 0.500 La
0.133 0.750 0.367 Th
0.250 0.250 0.250 Th
0.250 0.633 0.867 Th
0.367 0.133 0.750 Th
0.633 0.867 0.250 Th
0.750 0.367 0.133 Th
0.750 0.750 0.750 Th
0.867 0.250 0.633 Th
0.065 0.913 0.672 P
0.087 0.328 0.935 P
0.172 0.413 0.565 P
0.328 0.935 0.087 P
0.413 0.565 0.172 P
0.435 0.828 0.587 P
0.565 0.172 0.413 P
0.587 0.435 0.828 P
0.672 0.065 0.913 P
0.828 0.587 0.435 P
0.913 0.672 0.065 P
0.935 0.087 0.328 P
```

***

5.
Theoretical XRD peak list
Compound: LaY3Th2P6
Radiation: Cu Kα X-rays
Structure: a structure optimized by DFT (GGA-PBE)

Peak list (8 most intense, 10° ≤ 2θ ≤ 80°, in order of rising 2θ)
2θ = 13.3°, d 6.656, rel. 18; 2θ = 26.6°, d 3.353, rel. 60; 2θ = 26.8°, d 3.328, rel. 19; 2θ = 30.9°, d 2.898, rel. 100; 2θ = 44.1°, d 2.055, rel. 37; 2θ = 44.3°, d 2.044, rel. 36; 2θ = 52.3°, d 1.749, rel. 20; 2θ = 54.8°, d 1.676, rel. 19

Cell and atoms:
```
LaY3Th2P6
1.0
3.558 -6.168 0.000
3.558 6.168 0.000
-2.371 0.000 6.656
La Y Th P
1 3 2 6
Direct
0.000 0.000 0.000 La
0.165 0.835 0.500 Y
0.500 0.500 0.500 Y
0.835 0.165 0.500 Y
0.333 0.667 0.000 Th
0.667 0.333 0.000 Th
0.086 0.425 0.258 P
0.253 0.253 0.742 P
0.425 0.086 0.258 P
0.575 0.914 0.742 P
0.747 0.747 0.258 P
0.914 0.575 0.742 P
```

***

6.
Theoretical XRD peak list
Compound: LaTl2P
Radiation: Cu Kα X-rays
Structure: a structure optimized by DFT (GGA-PBE)

Peak list (8 most intense, 10° ≤ 2θ ≤ 80°, in order of rising 2θ)
2θ = 22.6°, d 3.937, rel. 29; 2θ = 32.4°, d 2.764, rel. 28; 2θ = 32.7°, d 2.737, rel. 100; 2θ = 35.0°, d 2.566, rel. 24; 2θ = 42.1°, d 2.148, rel. 26; 2θ = 54.1°, d 1.696, rel. 14; 2θ = 61.3°, d 1.512, rel. 17; 2θ = 63.4°, d 1.468, rel. 17

Cell and atoms:
```
LaTl2P
1.0
-2.148 2.566 4.921
2.148 -2.566 4.921
2.148 2.566 -4.921
La Tl P
1 2 1
Direct
0.000 0.000 0.000 La
0.425 0.425 0.000 Tl
0.719 0.219 0.500 Tl
0.218 0.718 0.500 P
```

***

7.
Theoretical XRD peak list
Compound: La2TmP3
Radiation: Cu Kα X-rays
Structure: a structure optimized by DFT (GGA-PBE)

Peak list (8 most intense, 10° ≤ 2θ ≤ 80°, in order of rising 2θ)
2θ = 26.1°, d 3.412, rel. 100; 2θ = 30.2°, d 2.959, rel. 83; 2θ = 30.4°, d 2.945, rel. 41; 2θ = 43.2°, d 2.093, rel. 31; 2θ = 43.3°, d 2.087, rel. 60; 2θ = 51.2°, d 1.784, rel. 33; 2θ = 53.7°, d 1.706, rel. 32; 2θ = 71.3°, d 1.323, rel. 27

Cell and atoms:
```
La2TmP3
1.0
-2.093 2.093 8.835
2.093 -2.093 8.835
2.093 2.093 -8.835
La Tm P
2 1 3
Direct
0.165 0.165 0.000 La
0.835 0.835 0.000 La
0.500 0.500 0.000 Tm
0.000 0.000 0.000 P
0.339 0.339 0.000 P
0.661 0.661 0.000 P
```

***

8.
Theoretical XRD peak list
Compound: La4TmP5
Radiation: Cu Kα X-rays
Structure: a structure optimized by DFT (GGA-PBE)

Peak list (8 most intense, 10° ≤ 2θ ≤ 80°, in order of rising 2θ)
2θ = 25.9°, d 3.442, rel. 79; 2θ = 30.0°, d 2.981, rel. 100; 2θ = 42.9°, d 2.108, rel. 74; 2θ = 50.8°, d 1.797, rel. 40; 2θ = 53.2°, d 1.721, rel. 26; 2θ = 68.6°, d 1.368, rel. 16; 2θ = 70.7°, d 1.332, rel. 22; 2θ = 78.7°, d 1.216, rel. 16

Cell and atoms:
```
La4TmP5
1.0
-4.709 4.709 2.985
4.709 -4.709 2.985
4.709 4.709 -2.985
La Tm P
4 1 5
Direct
0.098 0.299 0.397 La
0.299 0.902 0.201 La
0.701 0.098 0.799 La
0.902 0.701 0.603 La
0.500 0.500 0.000 Tm
0.000 0.000 0.000 P
0.210 0.597 0.806 P
0.403 0.210 0.613 P
0.597 0.790 0.387 P
0.790 0.403 0.194 P
```

***

9.
Theoretical XRD peak list
Compound: La7ZnP2
Radiation: Cu Kα X-rays
Structure: a structure optimized by DFT (GGA-PBE)

Peak list (8 most intense, 10° ≤ 2θ ≤ 80°, in order of rising 2θ)
2θ = 27.2°, d 3.274, rel. 39; 2θ = 30.1°, d 2.964, rel. 21; 2θ = 30.5°, d 2.935, rel. 68; 2θ = 31.4°, d 2.852, rel. 23; 2θ = 32.0°, d 2.801, rel. 100; 2θ = 34.5°, d 2.600, rel. 34; 2θ = 44.0°, d 2.056, rel. 21; 2θ = 54.5°, d 1.684, rel. 26

Cell and atoms:
```
La7ZnP2
1.0
12.099 0.000 0.000
0.000 12.099 0.000
0.000 0.000 4.112
La Zn P
14 2 4
Direct
0.000 0.500 0.000 La
0.067 0.199 0.000 La
0.177 0.677 0.500 La
0.199 0.933 0.000 La
0.301 0.433 0.000 La
0.323 0.177 0.500 La
0.433 0.699 0.000 La
0.500 0.000 0.000 La
0.567 0.301 0.000 La
0.677 0.823 0.500 La
0.699 0.567 0.000 La
0.801 0.067 0.000 La
0.823 0.323 0.500 La
0.933 0.801 0.000 La
0.000 0.000 0.500 Zn
0.500 0.500 0.500 Zn
0.132 0.368 0.500 P
0.368 0.868 0.500 P
0.632 0.132 0.500 P
0.868 0.632 0.500 P
```

***

10.
Theoretical XRD peak list
Compound: LaZn3P3
Radiation: Cu Kα X-rays
Structure: a structure optimized by DFT (GGA-PBE)

Peak list (8 most intense, 10° ≤ 2θ ≤ 80°, in order of rising 2θ)
2θ = 26.7°, d 3.333, rel. 100; 2θ = 30.9°, d 2.894, rel. 66; 2θ = 33.7°, d 2.659, rel. 41; 2θ = 35.5°, d 2.526, rel. 32; 2θ = 36.9°, d 2.437, rel. 55; 2θ = 44.4°, d 2.039, rel. 76; 2θ = 52.2°, d 1.754, rel. 17; 2θ = 58.2°, d 1.586, rel. 45

Cell and atoms:
```
LaZn3P3
1.0
4.077 0.000 0.000
-2.039 3.531 0.000
0.000 0.000 20.206
La Zn P
2 6 6
Direct
0.000 0.000 0.000 La
0.000 0.000 0.500 La
0.333 0.667 0.130 Zn
0.333 0.667 0.370 Zn
0.333 0.667 0.750 Zn
0.667 0.333 0.250 Zn
0.667 0.333 0.630 Zn
0.667 0.333 0.870 Zn
0.333 0.667 0.250 P
0.333 0.667 0.589 P
0.333 0.667 0.911 P
0.667 0.333 0.089 P
0.667 0.333 0.411 P
0.667 0.333 0.750 P
```

***

11.
Theoretical XRD peak list
Compound: LaZnP3
Radiation: Cu Kα X-rays
Structure: a structure optimized by DFT (GGA-PBE)

Peak list (8 most intense, 10° ≤ 2θ ≤ 80°, in order of rising 2θ)
2θ = 26.8°, d 3.324, rel. 100; 2θ = 33.0°, d 2.714, rel. 31; 2θ = 38.3°, d 2.351, rel. 56; 2θ = 47.4°, d 1.919, rel. 43; 2θ = 55.3°, d 1.662, rel. 37; 2θ = 62.5°, d 1.487, rel. 18; 2θ = 69.2°, d 1.357, rel. 12; 2θ = 75.7°, d 1.257, rel. 21

Cell and atoms:
```
LaZnP3
1.0
4.701 0.000 0.000
0.000 4.701 0.000
0.000 0.000 4.701
La Zn P
1 1 3
Direct
0.000 0.000 0.000 La
0.500 0.500 0.500 Zn
0.000 0.500 0.500 P
0.500 0.000 0.500 P
0.500 0.500 0.000 P
```

***

12.
Theoretical XRD peak list
Compound: LaZrP
Radiation: Cu Kα X-rays
Structure: a structure optimized by DFT (GGA-PBE)

Peak list (8 most intense, 10° ≤ 2θ ≤ 80°, in order of rising 2θ)
2θ = 28.0°, d 3.182, rel. 21; 2θ = 30.6°, d 2.920, rel. 100; 2θ = 39.4°, d 2.286, rel. 26; 2θ = 48.0°, d 1.897, rel. 23; 2θ = 51.3°, d 1.782, rel. 22; 2θ = 56.5°, d 1.629, rel. 17; 2θ = 58.0°, d 1.591, rel. 20; 2θ = 78.5°, d 1.219, rel. 22

Cell and atoms:
```
LaZrP
1.0
3.794 0.000 0.000
-1.897 3.286 0.000
0.000 0.000 6.364
La Zr P
1 1 1
Direct
0.000 0.000 0.000 La
0.333 0.667 0.508 Zr
0.667 0.333 0.294 P
```